# 1
Starting from DFT lattice parameters and positions (PBE), the powder diffractogram of Y2ZrBiC was simulated for Cu Kα.
No peak broadening, texture or thermal motion is included.

Largest 10 diffraction maxima, by angle, 15° ≤ 2θ ≤ 90°:
| Position (°2θ) | d/Å | Rel. int. |
| --- | --- | --- |
| 17.79 | 4.987 | 8 |
| 26.50 | 3.363 | 11 |
| 32.10 | 2.788 | 100 |
| 36.02 | 2.493 | 40 |
| 39.57 | 2.278 | 15 |
| 51.86 | 1.763 | 14 |
| 54.57 | 1.682 | 24 |
| 62.31 | 1.490 | 30 |
| 67.13 | 1.394 | 25 |
| 89.64 | 1.094 | 18 |

Structural model:
a b c (Å): 4.9867 4.9867 4.5553
angles (deg): 90.00 90.00 90.00
Fractional positions:
Y 0.0000 0.5000 0.0000
Y 0.5000 0.0000 0.0000
Zr 0.0000 0.0000 0.5000
Bi 0.5000 0.5000 0.5000
C 0.0000 0.0000 0.0000

=====

# 2
Starting from DFT lattice parameters and positions (PBE), the powder diffractogram of Zr6Bi3C was simulated for Cu Kα.
No peak broadening, texture or thermal motion is included.

Largest 10 diffraction maxima, by angle, 15° ≤ 2θ ≤ 90°:
| Position (°2θ) | d/Å | Rel. int. |
| --- | --- | --- |
| 33.68 | 2.661 | 100 |
| 35.23 | 2.547 | 21 |
| 40.33 | 2.236 | 16 |
| 41.45 | 2.179 | 15 |
| 54.61 | 1.681 | 12 |
| 55.50 | 1.656 | 11 |
| 62.24 | 1.492 | 14 |
| 69.09 | 1.359 | 12 |
| 70.65 | 1.333 | 12 |
| 70.81 | 1.331 | 11 |

Structural model:
a b c (Å): 10.0555 10.0555 4.4727
angles (deg): 90.00 90.00 98.92
Fractional positions:
Zr 0.0781 0.9219 0.7500
Zr 0.0844 0.5808 0.7500
Zr 0.2513 0.4141 0.2500
Zr 0.2562 0.7438 0.2500
Zr 0.4141 0.2513 0.7500
Zr 0.4192 0.9156 0.7500
Zr 0.5808 0.0844 0.2500
Zr 0.5859 0.7487 0.2500
Zr 0.7438 0.2562 0.7500
Zr 0.7487 0.5859 0.7500
Zr 0.9156 0.4192 0.2500
Zr 0.9219 0.0781 0.2500
Bi 0.0724 0.2647 0.7500
Bi 0.2647 0.0724 0.2500
Bi 0.4107 0.5893 0.7500
Bi 0.5893 0.4107 0.2500
Bi 0.7353 0.9276 0.7500
Bi 0.9276 0.7353 0.2500
C 0.2204 0.7796 0.7500
C 0.7796 0.2204 0.2500

=====

# 3
Starting from DFT lattice parameters and positions (PBE), the powder diffractogram of Zr3Bi2C was simulated for Cu Kα.
No peak broadening, texture or thermal motion is included.

Largest 10 diffraction maxima, by angle, 15° ≤ 2θ ≤ 90°:
| Position (°2θ) | d/Å | Rel. int. |
| --- | --- | --- |
| 24.85 | 3.583 | 29 |
| 32.22 | 2.778 | 79 |
| 32.71 | 2.737 | 48 |
| 32.83 | 2.728 | 49 |
| 33.65 | 2.663 | 99 |
| 35.78 | 2.509 | 100 |
| 46.62 | 1.948 | 73 |
| 59.78 | 1.547 | 23 |
| 61.74 | 1.502 | 22 |
| 64.80 | 1.439 | 21 |

Structural model:
a b c (Å): 7.7398 7.7398 6.7273
angles (deg): 102.36 102.36 42.08
Fractional positions:
Zr 0.0010 0.9990 0.7500
Zr 0.3940 0.3941 0.4478
Zr 0.3941 0.3940 0.9478
Zr 0.6059 0.6060 0.0522
Zr 0.6060 0.6059 0.5522
Zr 0.9990 0.0010 0.2500
Bi 0.1870 0.1871 0.0942
Bi 0.1871 0.1870 0.5942
Bi 0.8129 0.8130 0.4058
Bi 0.8130 0.8129 0.9058
C 0.4993 0.5007 0.7500
C 0.5007 0.4993 0.2500

=====

# 4
Starting from DFT lattice parameters and positions (PBE), the powder diffractogram of Ca3Bi4 was simulated for Cu Kα.
No peak broadening, texture or thermal motion is included.

Largest 10 diffraction maxima, by angle, 15° ≤ 2θ ≤ 90°:
| Position (°2θ) | d/Å | Rel. int. |
| --- | --- | --- |
| 17.92 | 4.950 | 40 |
| 21.54 | 4.126 | 48 |
| 21.65 | 4.104 | 60 |
| 29.46 | 3.032 | 27 |
| 30.05 | 2.973 | 100 |
| 31.39 | 2.850 | 61 |
| 36.30 | 2.475 | 27 |
| 36.62 | 2.454 | 21 |
| 39.98 | 2.255 | 29 |
| 63.59 | 1.463 | 25 |

Structural model:
a b c (Å): 6.5451 6.5451 16.7069
angles (deg): 90.00 90.00 139.69
Fractional positions:
Ca 0.0829 0.9171 0.5000
Ca 0.3419 0.6581 0.3461
Ca 0.3425 0.6575 0.6535
Ca 0.6575 0.3425 0.1535
Ca 0.6581 0.3419 0.8461
Ca 0.9171 0.0829 0.0000
Bi 0.9998 0.0002 0.2499
Bi 0.0002 0.9998 0.7499
Bi 0.1835 0.8165 0.9997
Bi 0.3640 0.6360 0.1414
Bi 0.3649 0.6351 0.8583
Bi 0.6351 0.3649 0.3583
Bi 0.6360 0.3640 0.6414
Bi 0.8165 0.1835 0.4997

=====

# 5
Starting from DFT lattice parameters and positions (PBE), the powder diffractogram of Ca3Bi5 was simulated for Cu Kα.
No peak broadening, texture or thermal motion is included.

Largest 10 diffraction maxima, by angle, 15° ≤ 2θ ≤ 90°:
| Position (°2θ) | d/Å | Rel. int. |
| --- | --- | --- |
| 18.90 | 4.697 | 19 |
| 22.17 | 4.009 | 15 |
| 31.01 | 2.884 | 100 |
| 32.92 | 2.721 | 20 |
| 37.39 | 2.405 | 31 |
| 50.66 | 1.802 | 24 |
| 57.59 | 1.600 | 15 |
| 63.51 | 1.465 | 26 |
| 64.63 | 1.442 | 12 |
| 82.82 | 1.165 | 12 |

Structural model:
a b c (Å): 11.4034 11.4034 11.4034
angles (deg): 155.65 155.65 34.70
Fractional positions:
Ca 0.0000 0.0000 0.0000
Ca 0.6392 0.1392 0.5000
Ca 0.8608 0.3608 0.5000
Bi 0.1200 0.6200 0.5000
Bi 0.2573 0.2573 0.0000
Bi 0.3800 0.8800 0.5000
Bi 0.5000 0.5000 0.0000
Bi 0.7427 0.7427 0.0000

=====

# 6
Starting from DFT lattice parameters and positions (PBE), the powder diffractogram of Ca11Bi10 was simulated for Cu Kα.
No peak broadening, texture or thermal motion is included.

Largest 10 diffraction maxima, by angle, 15° ≤ 2θ ≤ 90°:
| Position (°2θ) | d/Å | Rel. int. |
| --- | --- | --- |
| 21.94 | 4.051 | 46 |
| 22.12 | 4.018 | 100 |
| 22.66 | 3.925 | 44 |
| 30.06 | 2.973 | 79 |
| 30.39 | 2.941 | 36 |
| 30.62 | 2.919 | 99 |
| 33.20 | 2.698 | 55 |
| 39.44 | 2.285 | 56 |
| 43.47 | 2.082 | 36 |
| 43.87 | 2.064 | 47 |

Structural model:
a b c (Å): 12.4941 12.4941 12.4941
angles (deg): 120.64 120.64 88.90
Fractional positions:
Ca 0.0590 0.3098 0.7492
Ca 0.1036 0.4449 0.3413
Ca 0.1036 0.7623 0.6587
Ca 0.1652 0.1652 0.0000
Ca 0.2377 0.8964 0.3413
Ca 0.3098 0.0590 0.7492
Ca 0.3098 0.5605 0.2508
Ca 0.3389 0.3389 0.6777
Ca 0.3389 0.6611 0.0000
Ca 0.4395 0.6902 0.7492
Ca 0.4449 0.1036 0.3413
Ca 0.5551 0.8964 0.6587
Ca 0.5605 0.3098 0.2508
Ca 0.6611 0.3389 0.0000
Ca 0.6611 0.6611 0.3223
Ca 0.6902 0.4395 0.7492
Ca 0.6902 0.9410 0.2508
Ca 0.7623 0.1036 0.6587
Ca 0.8348 0.8348 0.0000
Ca 0.8964 0.2377 0.3413
Ca 0.8964 0.5551 0.6587
Ca 0.9410 0.6902 0.2508
Bi 0.0320 0.0320 0.4093
Bi 0.0320 0.6227 0.0000
Bi 0.1300 0.1300 0.2601
Bi 0.1300 0.8700 0.0000
Bi 0.1522 0.5000 0.6522
Bi 0.2500 0.7500 0.5000
Bi 0.3719 0.3719 0.0000
Bi 0.3773 0.3773 0.4093
Bi 0.3773 0.9680 0.0000
Bi 0.5000 0.1522 0.6522
Bi 0.5000 0.8478 0.3478
Bi 0.6227 0.0320 0.0000
Bi 0.6227 0.6227 0.5907
Bi 0.6281 0.6281 0.0000
Bi 0.7500 0.2500 0.5000
Bi 0.8478 0.5000 0.3478
Bi 0.8700 0.1300 0.0000
Bi 0.8700 0.8700 0.7399
Bi 0.9680 0.3773 0.0000
Bi 0.9680 0.9680 0.5907